# 1
# PmFeH5
Simulated XRD peak list, Cu Kα (λ = 1.5418 Å). Input: a cell relaxed with GGA-PBE.
Peak positions follow from Bragg's law for the DFT cell and can differ from measured ones.

Main lines, sorted by position (2θ = 10–80°):
16.7 deg, 5.322 Å, I = 45, (0 0 2); 29.8 deg, 3.000 Å, I = 100, (1 1 1); 30.4 deg, 2.938 Å, I = 43, (0 2 1); 33.2 deg, 2.696 Å, I = 76, (1 1 2); 33.7 deg, 2.661 Å, I = 48, (0 0 4); 33.8 deg, 2.650 Å, I = 41, (0 2 2); 38.4 deg, 2.346 Å, I = 50, (1 1 3); 38.9 deg, 2.316 Å, I = 22, (0 2 3); 51.4 deg, 1.778 Å, I = 29, (1 3 0); 52.0 deg, 1.760 Å, I = 22, (1 1 5); 61.8 deg, 1.501 Å, I = 30, (2 0 4); 62.9 deg, 1.478 Å, I = 30, (1 3 4)

Crystal structure
```
data_PmFeH5
_chemical_formula_sum 'Pm4 Fe4 H20'
_cell_length_a 3.640
_cell_length_b 6.112
_cell_length_c 10.643
_cell_angle_alpha 90.00
_cell_angle_beta 90.00
_cell_angle_gamma 90.00
_space_group_name_H-M_alt 'C m c m'
_space_group_IT_number 63
_space_group_name_Hall '-C 2c 2'
loop_
_atom_site_label
_atom_site_type_symbol
_atom_site_fract_x
_atom_site_fract_y
_atom_site_fract_z
Pm1 Pm 0.000 0.171 0.250
Fe1 Fe 0.000 0.500 0.000
H1 H 0.000 0.167 0.750
H2 H 0.000 0.187 0.011
H3 H 0.000 0.494 0.651
```

# 2
# CaAcHo4S8
Simulated XRD peak list, Cu Kα (λ = 1.5418 Å). Input: a cell relaxed with GGA-PBE.
Peak positions follow from Bragg's law for the DFT cell and can differ from measured ones.

Main lines, sorted by position (2θ = 10–80°):
13.4 deg, 6.631 Å, I = 51, (1 0 1); 22.0 deg, 4.045 Å, I = 18, (1 1 0); 25.1 deg, 3.543 Å, I = 49, (0 1 5); 25.6 deg, 3.482 Å, I = 100, (1 1 3); 25.8 deg, 3.453 Å, I = 28, (0 2 1); 26.9 deg, 3.315 Å, I = 30, (2 0 2); 30.9 deg, 2.894 Å, I = 63, (0 2 4); 40.5 deg, 2.226 Å, I = 32, (1 2 5); 40.8 deg, 2.210 Å, I = 30, (0 3 3); 43.7 deg, 2.070 Å, I = 54, (2 0 8); 44.8 deg, 2.023 Å, I = 52, (2 2 0); 62.2 deg, 1.492 Å, I = 17, (4 1 3)

Crystal structure
```
data_CaAcHo4S8
_chemical_formula_sum 'Ca3 Ac3 Ho12 S24'
_cell_length_a 8.0902
_cell_length_b 8.0902
_cell_length_c 20.5326
_cell_angle_alpha 90.00
_cell_angle_beta 90.00
_cell_angle_gamma 120.00
_space_group_name_H-M_alt 'R 3 m'
_space_group_IT_number 160
_space_group_name_Hall 'R 3 -2"'
loop_
_atom_site_label
_atom_site_type_symbol
_atom_site_fract_x
_atom_site_fract_y
_atom_site_fract_z
Ca1 Ca 0.0000 0.0000 0.0000
Ac1 Ac 0.0000 0.0000 0.3723
Ho1 Ho 0.0000 0.0000 0.7472
Ho2 Ho 0.0048 0.5024 0.8740
S1 S 0.0000 0.0000 0.1342
S2 S 0.0000 0.0000 0.6152
S3 S 0.0073 0.5037 0.1320
S4 S 0.1750 0.3500 0.9463
```